For Tm3HfTl3Te8, a structure optimized by DFT (PBE) gives the computed XRD peak list in this record (a wavelength of 1.5418 Å).
No peak broadening, texture or thermal motion is included.

Structural model:
abc: 9.696 9.696 9.696
angles: 52.81 52.81 52.81
Positions (direct):
Tm: 0.000 0.500 0.500
Tm: 0.500 0.000 0.500
Tm: 0.500 0.500 0.000
Hf: 0.000 0.000 0.000
Tl: 0.000 0.000 0.500
Tl: 0.000 0.500 0.000
Tl: 0.500 0.000 0.000
Te: 0.229 0.229 0.748
Te: 0.229 0.748 0.229
Te: 0.252 0.771 0.771
Te: 0.263 0.263 0.263
Te: 0.737 0.737 0.737
Te: 0.748 0.229 0.229
Te: 0.771 0.252 0.771
Te: 0.771 0.771 0.252

Principal peaks in the range 2θ from 10° to 90°, by intensity:
3.205 Å, I 100
2.394 Å, I 38
2.156 Å, I 35
1.789 Å, I 19
1.377 Å, I 16
1.497 Å, I 14
1.602 Å, I 11
1.286 Å, I 10
7.156 Å, I 8
8.320 Å, I 8

***

For HfUTe, a structure optimized by DFT (PBE) gives the computed XRD peak list in this record (a wavelength of 1.5418 Å).
No peak broadening, texture or thermal motion is included.

Structural model:
abc: 9.520 9.520 3.934
angles: 90.00 90.00 149.25
Positions (direct):
Hf: 0.062 0.938 0.750
Hf: 0.938 0.062 0.250
U: 0.455 0.545 0.750
U: 0.545 0.455 0.250
Te: 0.176 0.824 0.250
Te: 0.824 0.176 0.750

Principal peaks in the range 2θ from 10° to 90°, by intensity:
2.370 Å, I 100
2.768 Å, I 86
2.524 Å, I 37
3.894 Å, I 35
1.426 Å, I 23
1.285 Å, I 22
2.295 Å, I 18
1.967 Å, I 18
1.551 Å, I 17
1.698 Å, I 14

***

For HfVTe2, a structure optimized by DFT (PBE) gives the computed XRD peak list in this record (a wavelength of 1.5418 Å).
No peak broadening, texture or thermal motion is included.

Structural model:
abc: 8.610 6.785 8.684
angles: 90.00 117.57 90.00
Positions (direct):
Hf: 0.032 0.049 0.330
Hf: 0.032 0.451 0.830
Hf: 0.968 0.549 0.170
Hf: 0.968 0.951 0.670
V: 0.111 0.609 0.545
V: 0.111 0.891 0.045
V: 0.889 0.109 0.955
V: 0.889 0.391 0.455
Te: 0.219 0.237 0.666
Te: 0.219 0.263 0.166
Te: 0.294 0.748 0.885
Te: 0.294 0.752 0.385
Te: 0.706 0.248 0.615
Te: 0.706 0.252 0.115
Te: 0.781 0.737 0.834
Te: 0.781 0.763 0.334

Principal peaks in the range 2θ from 10° to 90°, by intensity:
7.632 Å, I 100
2.536 Å, I 43
3.247 Å, I 26
2.500 Å, I 22
1.950 Å, I 22
3.348 Å, I 21
2.151 Å, I 19
2.128 Å, I 19
3.101 Å, I 17
2.640 Å, I 16

***

For HfZr2Te5, a structure optimized by DFT (PBE) gives the computed XRD peak list in this record (a wavelength of 1.5418 Å).
No peak broadening, texture or thermal motion is included.

Structural model:
abc: 7.450 7.450 13.530
angles: 90.00 90.00 135.50
Positions (direct):
Hf: 0.193 0.807 0.750
Hf: 0.807 0.193 0.250
Zr: 0.173 0.827 0.036
Zr: 0.173 0.827 0.464
Zr: 0.827 0.173 0.536
Zr: 0.827 0.173 0.964
Te: 0.038 0.962 0.619
Te: 0.038 0.962 0.881
Te: 0.249 0.751 0.250
Te: 0.342 0.658 0.590
Te: 0.342 0.658 0.910
Te: 0.658 0.342 0.090
Te: 0.658 0.342 0.410
Te: 0.751 0.249 0.750
Te: 0.962 0.038 0.119
Te: 0.962 0.038 0.381

Principal peaks in the range 2θ from 10° to 90°, by intensity:
2.453 Å, I 100
2.821 Å, I 96
2.739 Å, I 71
5.222 Å, I 61
3.037 Å, I 55
1.965 Å, I 54
6.895 Å, I 51
3.774 Å, I 51
2.258 Å, I 42
2.067 Å, I 37